Structure and computed powder XRD pattern of Sr4SiI3 (a structure optimized by DFT (GGA-PBE); Cu Kα X-rays).
Intensities are scaled so that the largest is 100.

Top 10 peaks for 2θ = 5–70°, low angle first:
2θ/deg, I (rel.), (hkl)
26.30, 100, 1 2 1
26.46, 51, 2 0 -2
37.36, 34, 3 2 -1
37.53, 35, 2 0 2
37.94, 37, 1 2 -3
46.52, 17, 2 4 -2
46.99, 10, 0 0 4
54.13, 10, 2 4 2
61.12, 18, 3 2 3
68.03, 9, 4 4 -4

Structural model:
Unit cell a=8.3533 b=9.5823 c=8.1867 alpha=90.00 beta=109.13 gamma=90.00
Sites, in units of the cell vectors:
Sr: 0.2077 0.1013 0.0011
Sr: 0.2077 0.8987 0.5011
Sr: 0.2231 0.3467 0.4700
Sr: 0.2231 0.6533 0.9700
Sr: 0.7769 0.3467 0.0300
Sr: 0.7769 0.6533 0.5300
Sr: 0.7923 0.1013 0.4989
Sr: 0.7923 0.8987 0.9989
Si: 0.0000 0.1265 0.2500
Si: 0.0000 0.8735 0.7500
I: 0.0000 0.3785 0.7500
I: 0.0000 0.6215 0.2500
I: 0.5000 0.1325 0.7500
I: 0.5000 0.3878 0.2500
I: 0.5000 0.6122 0.7500
I: 0.5000 0.8675 0.2500

***

Structure and computed powder XRD pattern of Th3SiI3 (a structure optimized by DFT (GGA-PBE); Cu Kα X-rays).
Intensities are scaled so that the largest is 100.

Top 10 peaks for 2θ = 5–70°, low angle first:
2θ/deg, I (rel.), (hkl)
7.12, 53, 0 0 1
9.50, 53, 1 0 0
28.43, 44, 1 1 2
28.76, 55, 0 0 4
29.09, 100, 2 1 0
29.45, 44, 2 1 -1
30.52, 43, 2 1 1
30.74, 58, 3 0 -2
38.54, 56, 4 0 -1
44.38, 41, 0 2 0

Structural model:
Unit cell a=9.3714 b=4.0825 c=12.5012 alpha=90.00 beta=96.57 gamma=90.00
Sites, in units of the cell vectors:
Th: 0.0787 0.2500 0.3168
Th: 0.1575 0.2500 0.8579
Th: 0.2565 0.7500 0.0957
Th: 0.7435 0.2500 0.9043
Th: 0.8425 0.7500 0.1421
Th: 0.9213 0.7500 0.6832
Si: 0.0318 0.2500 0.0719
Si: 0.9682 0.7500 0.9281
I: 0.1616 0.2500 0.5932
I: 0.3474 0.7500 0.3554
I: 0.4442 0.7500 0.8610
I: 0.5558 0.2500 0.1390
I: 0.6526 0.2500 0.6446
I: 0.8384 0.7500 0.4068